VCl2F: calculated X-ray diffraction stick pattern (Cu Kα (λ = 1.5418 Å)), based on a cell relaxed with PBE+U.

Largest 10 diffraction maxima, in order of falling intensity, 5° ≤ 2θ ≤ 70°:
2theta  d (Å)  intensity
18.85  4.707  100.0
35.92  2.500  90.6
33.09  2.707  81.4
46.47  1.954  78.3
28.82  3.098  70.9
17.01  5.214  56.5
52.67  1.738  36.8
18.74  4.735  34.5
44.22  2.048  34.0
34.46  2.602  32.3

Crystal structure
Cell lengths 6.2453, 5.4248, 9.4700 Å; angles 90.00, 90.00, 90.00 degrees
Fractional coordinates of all 16 atoms:
V 0.2500 0.0000 0.1006
V 0.2500 0.5000 0.3994
V 0.7500 0.0000 0.8994
V 0.7500 0.5000 0.6006
Cl 0.0834 0.2398 0.9227
Cl 0.0834 0.2602 0.5773
Cl 0.4166 0.7398 0.5773
Cl 0.4166 0.7602 0.9227
Cl 0.5834 0.2398 0.0773
Cl 0.5834 0.2602 0.4227
Cl 0.9166 0.7398 0.4227
Cl 0.9166 0.7602 0.0773
F 0.1647 0.2500 0.2500
F 0.3353 0.7500 0.2500
F 0.6647 0.2500 0.7500
F 0.8353 0.7500 0.7500